No. 1
LaGePPt6: theoretical powder XRD pattern (CuKα), based on a cell relaxed with PBE.
Intensities are scaled so that the largest is 100.

Crystal structure
```
data_LaGePPt6
_chemical_formula_sum 'La4 Ge4 P4 Pt24'
_symmetry_space_group_name_H-M 'I m m a'
_symmetry_Int_Tables_number 74
_symmetry_space_group_name_Hall '-I 2b 2'
_cell_length_a 7.5847
_cell_length_b 8.4064
_cell_length_c 11.3594
_cell_angle_alpha 90.00
_cell_angle_beta 90.00
_cell_angle_gamma 90.00
loop_
_atom_site_label
_atom_site_fract_x
_atom_site_fract_y
_atom_site_fract_z
_atom_site_occupancy
La1 0.0000 0.2500 0.1567 1
Ge1 0.2500 0.2500 0.7500 1
P1 0.0000 0.0000 0.5000 1
Pt1 0.0000 0.2500 0.4182 1
Pt2 0.0000 0.2500 0.8858 1
Pt3 0.2398 0.0142 0.6233 1
```

Principal peaks in the range 10 to 80 degrees two-theta, in order of rising 2θ:
2θ = 22.23°, 3.999 Å, intensity 18; 2θ = 31.50°, 2.840 Å, intensity 40; 2θ = 31.78°, 2.816 Å, intensity 100; 2θ = 43.04°, 2.102 Å, intensity 34; 2θ = 45.36°, 1.999 Å, intensity 84; 2θ = 47.98°, 1.896 Å, intensity 23; 2θ = 54.30°, 1.689 Å, intensity 16; 2θ = 58.53°, 1.577 Å, intensity 15; 2θ = 66.41°, 1.408 Å, intensity 16; 2θ = 75.35°, 1.261 Å, intensity 12

***

No. 2
BaTlSeI: theoretical powder XRD pattern (CuKα), based on a cell relaxed with PBE.
Intensities are scaled so that the largest is 100.

Crystal structure
```
data_BaTlSeI
_chemical_formula_sum 'Ba6 Tl6 Se6 I6'
_symmetry_space_group_name_H-M 'R -3 m'
_symmetry_Int_Tables_number 166
_symmetry_space_group_name_Hall '-R 3 2"'
_cell_length_a 4.7824
_cell_length_b 4.7824
_cell_length_c 53.5720
_cell_angle_alpha 90.00
_cell_angle_beta 90.00
_cell_angle_gamma 120.00
loop_
_atom_site_label
_atom_site_fract_x
_atom_site_fract_y
_atom_site_fract_z
_atom_site_occupancy
Ba1 0.0000 0.0000 0.0915 1
Tl1 0.0000 0.0000 0.3062 1
Se1 0.0000 0.0000 0.3899 1
I1 0.0000 0.0000 0.2038 1
```

Principal peaks in the range 10 to 80 degrees two-theta, in order of rising 2θ:
2θ = 21.71°, 4.093 Å, intensity 26; 2θ = 25.28°, 3.522 Å, intensity 27; 2θ = 27.22°, 3.277 Å, intensity 100; 2θ = 30.60°, 2.921 Å, intensity 19; 2θ = 35.80°, 2.508 Å, intensity 13; 2θ = 37.62°, 2.391 Å, intensity 52; 2θ = 40.09°, 2.249 Å, intensity 18; 2θ = 44.62°, 2.031 Å, intensity 14; 2θ = 47.05°, 1.932 Å, intensity 22; 2θ = 61.74°, 1.503 Å, intensity 20

***

No. 3
Mg5In4: theoretical powder XRD pattern (CuKα), based on a cell relaxed with PBE.
Intensities are scaled so that the largest is 100.

Crystal structure
```
data_Mg5In4
_chemical_formula_sum 'Mg10 In8'
_symmetry_space_group_name_H-M 'I 4/m m m'
_symmetry_Int_Tables_number 139
_symmetry_space_group_name_Hall '-I 4 2'
_cell_length_a 9.8053
_cell_length_b 9.8053
_cell_length_c 4.4375
_cell_angle_alpha 90.00
_cell_angle_beta 90.00
_cell_angle_gamma 90.00
loop_
_atom_site_label
_atom_site_fract_x
_atom_site_fract_y
_atom_site_fract_z
_atom_site_occupancy
Mg1 0.0000 0.0000 0.0000 1
Mg2 0.0000 0.3335 0.0000 1
In1 0.1673 0.1673 0.5000 1
```

Principal peaks in the range 10 to 80 degrees two-theta, in order of rising 2θ:
2θ = 18.09°, 4.903 Å, intensity 23; 2θ = 21.99°, 4.043 Å, intensity 28; 2θ = 28.79°, 3.101 Å, intensity 14; 2θ = 34.07°, 2.632 Å, intensity 100; 2θ = 38.84°, 2.319 Å, intensity 13; 2θ = 38.97°, 2.311 Å, intensity 34; 2θ = 40.66°, 2.219 Å, intensity 15; 2θ = 57.59°, 1.601 Å, intensity 21; 2θ = 67.46°, 1.388 Å, intensity 26; 2θ = 69.79°, 1.348 Å, intensity 12

***

No. 4
LaErTm5: theoretical powder XRD pattern (CuKα), based on a cell relaxed with PBE.
Intensities are scaled so that the largest is 100.

Crystal structure
```
data_LaErTm5
_chemical_formula_sum 'La4 Er4 Tm20'
_symmetry_space_group_name_H-M 'I m m a'
_symmetry_Int_Tables_number 74
_symmetry_space_group_name_Hall '-I 2b 2'
_cell_length_a 7.0368
_cell_length_b 11.3848
_cell_length_c 11.3538
_cell_angle_alpha 90.00
_cell_angle_beta 90.00
_cell_angle_gamma 90.00
loop_
_atom_site_label
_atom_site_fract_x
_atom_site_fract_y
_atom_site_fract_z
_atom_site_occupancy
La1 0.2500 0.2500 0.2500 1
Er1 0.0000 0.2500 0.5401 1
Tm1 0.0000 0.0371 0.7502 1
Tm2 0.0000 0.2500 0.9605 1
Tm3 0.2502 0.0000 0.0000 1
```

Principal peaks in the range 10 to 80 degrees two-theta, in order of rising 2θ:
2θ = 24.77°, 3.595 Å, intensity 15; 2θ = 27.68°, 3.223 Å, intensity 13; 2θ = 31.47°, 2.842 Å, intensity 53; 2θ = 33.44°, 2.680 Å, intensity 15; 2θ = 33.86°, 2.647 Å, intensity 100; 2θ = 45.11°, 2.010 Å, intensity 14; 2θ = 48.33°, 1.883 Å, intensity 18; 2θ = 57.52°, 1.602 Å, intensity 13; 2θ = 57.63°, 1.599 Å, intensity 12; 2θ = 62.04°, 1.496 Å, intensity 15

***

No. 5
GePb4Au5: theoretical powder XRD pattern (CuKα), based on a cell relaxed with PBE.
Intensities are scaled so that the largest is 100.

Crystal structure
```
data_GePb4Au5
_chemical_formula_sum 'Ge2 Pb8 Au10'
_symmetry_space_group_name_H-M 'I 4 m m'
_symmetry_Int_Tables_number 107
_symmetry_space_group_name_Hall 'I 4 -2'
_cell_length_a 9.8018
_cell_length_b 9.8018
_cell_length_c 4.9905
_cell_angle_alpha 90.00
_cell_angle_beta 90.00
_cell_angle_gamma 90.00
loop_
_atom_site_label
_atom_site_fract_x
_atom_site_fract_y
_atom_site_fract_z
_atom_site_occupancy
Ge1 0.0000 0.0000 0.0000 1
Pb1 0.0000 0.3005 0.3003 1
Au1 0.0000 0.0000 0.4968 1
Au2 0.1859 0.1859 0.8010 1
```

Principal peaks in the range 10 to 80 degrees two-theta, in order of rising 2θ:
2θ = 32.76°, 2.734 Å, intensity 100; 2θ = 35.99°, 2.495 Å, intensity 17; 2θ = 37.68°, 2.387 Å, intensity 14; 2θ = 38.99°, 2.310 Å, intensity 36; 2θ = 40.57°, 2.224 Å, intensity 12; 2θ = 49.99°, 1.825 Å, intensity 12; 2θ = 54.10°, 1.695 Å, intensity 14; 2θ = 62.67°, 1.482 Å, intensity 13; 2θ = 66.70°, 1.402 Å, intensity 13; 2θ = 67.14°, 1.394 Å, intensity 11

***

No. 6
La6US12: theoretical powder XRD pattern (CuKα), based on a cell relaxed with PBE.
Intensities are scaled so that the largest is 100.

Crystal structure
```
data_La6US12
_chemical_formula_sum 'La18 U3 S36'
_symmetry_space_group_name_H-M 'R -3'
_symmetry_Int_Tables_number 148
_symmetry_space_group_name_Hall '-R 3'
_cell_length_a 12.3687
_cell_length_b 12.3687
_cell_length_c 11.9001
_cell_angle_alpha 90.00
_cell_angle_beta 90.00
_cell_angle_gamma 120.00
loop_
_atom_site_label
_atom_site_fract_x
_atom_site_fract_y
_atom_site_fract_z
_atom_site_occupancy
La1 0.0465 0.7811 0.1386 1
U1 0.0000 0.0000 0.5000 1
S1 0.0341 0.8117 0.8996 1
S2 0.0519 0.8556 0.3858 1
```

Principal peaks in the range 10 to 80 degrees two-theta, in order of rising 2θ:
2θ = 17.05°, 5.201 Å, intensity 16; 2θ = 22.41°, 3.967 Å, intensity 29; 2θ = 23.21°, 3.833 Å, intensity 100; 2θ = 26.64°, 3.346 Å, intensity 29; 2θ = 33.75°, 2.656 Å, intensity 23; 2θ = 37.52°, 2.397 Å, intensity 37; 2θ = 38.51°, 2.337 Å, intensity 37; 2θ = 45.02°, 2.014 Å, intensity 23; 2θ = 45.45°, 1.996 Å, intensity 17; 2θ = 47.44°, 1.916 Å, intensity 11

***

No. 7
BeTc3: theoretical powder XRD pattern (CuKα), based on a cell relaxed with PBE.
Intensities are scaled so that the largest is 100.

Crystal structure
```
data_BeTc3
_chemical_formula_sum 'Be4 Tc12'
_symmetry_space_group_name_H-M 'P n m a'
_symmetry_Int_Tables_number 62
_cell_length_a 5.7349
_cell_length_b 7.4005
_cell_length_c 4.8592
_cell_angle_alpha 90.00
_cell_angle_beta 90.00
_cell_angle_gamma 90.00
loop_
_symmetry_equiv_pos_as_xyz
'x,y,z'
'-x,-y,-z'
'-x+1/2,-y,z+1/2'
'x+1/2,y,-z+1/2'
'x+1/2,-y+1/2,-z+1/2'
'-x+1/2,y+1/2,z+1/2'
'-x,y+1/2,-z'
'x,-y+1/2,z'
loop_
_atom_site_label
_atom_site_fract_x
_atom_site_fract_y
_atom_site_fract_z
_atom_site_occupancy
Be1 0.1131 0.2500 0.0890 1
Tc1 0.0234 0.7500 0.3669 1
Tc2 0.1857 0.5488 0.8630 1
```

Principal peaks in the range 10 to 80 degrees two-theta, in order of rising 2θ:
2θ = 34.24°, 2.619 Å, intensity 76; 2θ = 38.43°, 2.343 Å, intensity 52; 2θ = 39.77°, 2.267 Å, intensity 100; 2θ = 40.32°, 2.237 Å, intensity 82; 2θ = 41.03°, 2.200 Å, intensity 77; 2θ = 42.20°, 2.141 Å, intensity 61; 2θ = 44.09°, 2.054 Å, intensity 84; 2θ = 47.49°, 1.914 Å, intensity 51; 2θ = 51.36°, 1.779 Å, intensity 37; 2θ = 73.87°, 1.283 Å, intensity 46

***

No. 8
ErPaHgGe: theoretical powder XRD pattern (CuKα), based on a cell relaxed with PBE.
Intensities are scaled so that the largest is 100.

Crystal structure
```
data_ErPaHgGe
_chemical_formula_sum 'Er4 Pa4 Hg4 Ge4'
_symmetry_space_group_name_H-M 'F -4 3 m'
_symmetry_Int_Tables_number 216
_symmetry_space_group_name_Hall 'F -4 2 3'
_cell_length_a 7.2696
_cell_length_b 7.2696
_cell_length_c 7.2696
_cell_angle_alpha 90.00
_cell_angle_beta 90.00
_cell_angle_gamma 90.00
loop_
_atom_site_label
_atom_site_fract_x
_atom_site_fract_y
_atom_site_fract_z
_atom_site_occupancy
Er1 0.0000 0.0000 0.0000 1
Pa1 0.0000 0.0000 0.5000 1
Hg1 0.2500 0.2500 0.2500 1
Ge1 0.2500 0.2500 0.7500 1
```

Principal peaks in the range 10 to 80 degrees two-theta, in order of rising 2θ:
2θ = 21.17°, 4.197 Å, intensity 10; 2θ = 24.49°, 3.635 Å, intensity 4; 2θ = 34.91°, 2.570 Å, intensity 100; 2θ = 41.19°, 2.192 Å, intensity 6; 2θ = 50.20°, 1.817 Å, intensity 18; 2θ = 55.06°, 1.668 Å, intensity 3; 2θ = 62.60°, 1.484 Å, intensity 38; 2θ = 66.88°, 1.399 Å, intensity 2; 2θ = 73.72°, 1.285 Å, intensity 12; 2θ = 77.72°, 1.229 Å, intensity 2

***

No. 9
Sc6ZnCd3: theoretical powder XRD pattern (CuKα), based on a cell relaxed with PBE.
Intensities are scaled so that the largest is 100.

Crystal structure
```
data_Sc6ZnCd3
_chemical_formula_sum 'Sc12 Zn2 Cd6'
_symmetry_space_group_name_H-M 'P 1 21/m 1'
_symmetry_Int_Tables_number 11
_cell_length_a 8.5422
_cell_length_b 4.9971
_cell_length_c 10.8727
_cell_angle_alpha 90.00
_cell_angle_beta 109.08
_cell_angle_gamma 90.00
loop_
_symmetry_equiv_pos_as_xyz
'x,y,z'
'-x,-y,-z'
'-x,y+1/2,-z'
'x,-y+1/2,z'
loop_
_atom_site_label
_atom_site_fract_x
_atom_site_fract_y
_atom_site_fract_z
_atom_site_occupancy
Sc1 0.0380 0.2500 0.4154 1
Sc2 0.1727 0.7500 0.1743 1
Sc3 0.2688 0.2500 0.0096 1
Sc4 0.3496 0.7500 0.8115 1
Sc5 0.3635 0.2500 0.3334 1
Sc6 0.4079 0.2500 0.6316 1
Zn1 0.4569 0.7500 0.0967 1
Cd1 0.0286 0.7500 0.8772 1
Cd2 0.1126 0.2500 0.7209 1
Cd3 0.2738 0.7500 0.4761 1
```

Principal peaks in the range 10 to 80 degrees two-theta, in order of rising 2θ:
2θ = 10.96°, 8.073 Å, intensity 7; 2θ = 24.78°, 3.592 Å, intensity 18; 2θ = 26.23°, 3.398 Å, intensity 7; 2θ = 31.51°, 2.839 Å, intensity 7; 2θ = 34.73°, 2.583 Å, intensity 20; 2θ = 35.94°, 2.499 Å, intensity 32; 2θ = 36.40°, 2.468 Å, intensity 100; 2θ = 39.26°, 2.295 Å, intensity 13; 2θ = 50.84°, 1.796 Å, intensity 13; 2θ = 64.91°, 1.437 Å, intensity 17

***

No. 10
Dy2CdSi4Pt3: theoretical powder XRD pattern (CuKα), based on a cell relaxed with PBE.
Intensities are scaled so that the largest is 100.

Crystal structure
```
data_Dy2CdSi4Pt3
_chemical_formula_sum 'Dy2 Cd1 Si4 Pt3'
_symmetry_space_group_name_H-M 'P -4 m 2'
_symmetry_Int_Tables_number 115
_cell_length_a 4.1917
_cell_length_b 4.1917
_cell_length_c 10.2536
_cell_angle_alpha 90.00
_cell_angle_beta 90.00
_cell_angle_gamma 90.00
loop_
_symmetry_equiv_pos_as_xyz
'x,y,z'
'y,-x,-z'
'-x,-y,z'
'-y,x,-z'
'-x,y,z'
'-y,-x,-z'
'x,-y,z'
'y,x,-z'
loop_
_atom_site_label
_atom_site_fract_x
_atom_site_fract_y
_atom_site_fract_z
_atom_site_occupancy
Dy1 0.0000 0.5000 0.2422 1
Cd1 0.0000 0.0000 0.5000 1
Si1 0.0000 0.0000 0.0000 1
Si2 0.0000 0.5000 0.6498 1
Si3 0.5000 0.5000 0.0000 1
Pt1 0.0000 0.5000 0.8811 1
Pt2 0.5000 0.5000 0.5000 1
```

Principal peaks in the range 10 to 80 degrees two-theta, in order of rising 2θ:
2θ = 26.07°, 3.418 Å, intensity 26; 2θ = 27.49°, 3.245 Å, intensity 37; 2θ = 30.15°, 2.964 Å, intensity 25; 2θ = 31.42°, 2.847 Å, intensity 74; 2θ = 33.84°, 2.649 Å, intensity 96; 2θ = 34.97°, 2.566 Å, intensity 100; 2θ = 43.16°, 2.096 Å, intensity 76; 2θ = 49.48°, 1.842 Å, intensity 29; 2θ = 55.94°, 1.644 Å, intensity 46; 2θ = 62.72°, 1.481 Å, intensity 45

***

No. 11
YEr7Sc3: theoretical powder XRD pattern (CuKα), based on a cell relaxed with PBE.
Intensities are scaled so that the largest is 100.

Crystal structure
```
data_YEr7Sc3
_chemical_formula_sum 'Y1 Er7 Sc3'
_symmetry_space_group_name_H-M 'P 1 2/m 1'
_symmetry_Int_Tables_number 10
_cell_length_a 6.6341
_cell_length_b 5.3478
_cell_length_c 9.5235
_cell_angle_alpha 90.00
_cell_angle_beta 104.44
_cell_angle_gamma 90.00
loop_
_symmetry_equiv_pos_as_xyz
'x,y,z'
'-x,-y,-z'
'-x,y,-z'
'x,-y,z'
loop_
_atom_site_label
_atom_site_fract_x
_atom_site_fract_y
_atom_site_fract_z
_atom_site_occupancy
Y1 0.0000 0.0000 0.0000 1
Er1 0.0000 0.0000 0.5000 1
Er2 0.1572 0.5000 0.7798 1
Er3 0.3194 0.5000 0.1299 1
Er4 0.4566 0.0000 0.3298 1
Sc1 0.2730 0.5000 0.4792 1
Sc2 0.5000 0.0000 0.0000 1
```

Principal peaks in the range 10 to 80 degrees two-theta, in order of rising 2θ:
2θ = 19.19°, 4.626 Å, intensity 33; 2θ = 25.51°, 3.492 Å, intensity 15; 2θ = 27.02°, 3.300 Å, intensity 38; 2θ = 31.38°, 2.851 Å, intensity 43; 2θ = 32.52°, 2.754 Å, intensity 61; 2θ = 33.51°, 2.674 Å, intensity 100; 2θ = 33.63°, 2.665 Å, intensity 36; 2θ = 34.17°, 2.624 Å, intensity 19; 2θ = 35.37°, 2.538 Å, intensity 18; 2θ = 43.56°, 2.077 Å, intensity 21

***

No. 12
Sm3ZrGe6: theoretical powder XRD pattern (CuKα), based on a cell relaxed with PBE.
Intensities are scaled so that the largest is 100.

Crystal structure
```
data_Sm3ZrGe6
_chemical_formula_sum 'Sm18 Zr6 Ge36'
_symmetry_space_group_name_H-M 'R -3 c'
_symmetry_Int_Tables_number 167
_symmetry_space_group_name_Hall '-R 3 2"c'
_cell_length_a 11.5364
_cell_length_b 11.5364
_cell_length_c 11.5043
_cell_angle_alpha 90.00
_cell_angle_beta 90.00
_cell_angle_gamma 120.00
loop_
_atom_site_label
_atom_site_fract_x
_atom_site_fract_y
_atom_site_fract_z
_atom_site_occupancy
Sm1 0.0000 0.4316 0.2500 1
Zr1 0.0000 0.0000 0.0000 1
Ge1 0.0669 0.2114 0.3436 1
```

Principal peaks in the range 10 to 80 degrees two-theta, in order of rising 2θ:
2θ = 27.94°, 3.193 Å, intensity 20; 2θ = 32.39°, 2.764 Å, intensity 8; 2θ = 33.26°, 2.694 Å, intensity 72; 2θ = 36.00°, 2.495 Å, intensity 100; 2θ = 46.20°, 1.965 Å, intensity 14; 2θ = 48.00°, 1.895 Å, intensity 16; 2θ = 53.30°, 1.719 Å, intensity 10; 2θ = 53.49°, 1.713 Å, intensity 11; 2θ = 57.62°, 1.600 Å, intensity 12; 2θ = 66.00°, 1.415 Å, intensity 11